(1)
This entry pairs a crystal structure of ZnCr2O5 with its theoretical powder XRD pattern. Radiation: λ = 1.5418 Å (Cu Kα). Structure: a DFT-relaxed cell (GGA+U, the Materials Project).
Kinematic intensities with the Lorentz-polarization factor, no thermal factor.

Peak list (8 most intense, 2θ = 10–90°, in order of rising 2θ)
d/Å  Position (°2θ)  intensity
5.055  17.5  75
3.782  23.5  38
3.450  25.8  100
3.037  29.4  92
2.554  35.1  61
2.426  37.1  44
1.835  49.7  35
1.504  61.7  32

Structure:
Cell: 5.378 5.378 11.398 Å, 90.00 90.00 140.09°
Sites, in units of the cell vectors:
1 Zn 0.097 0.903 0.750
2 Zn 0.903 0.097 0.250
3 Cr 0.208 0.792 0.097
4 Cr 0.208 0.792 0.403
5 Cr 0.792 0.208 0.597
6 Cr 0.792 0.208 0.903
7 O 0.044 0.956 0.130
8 O 0.044 0.956 0.370
9 O 0.234 0.766 0.575
10 O 0.234 0.766 0.925
11 O 0.300 0.700 0.250
12 O 0.700 0.300 0.750
13 O 0.766 0.234 0.075
14 O 0.766 0.234 0.425
15 O 0.956 0.044 0.630
16 O 0.956 0.044 0.870


(2)
This entry pairs a crystal structure of ZnCr2O4 with its theoretical powder XRD pattern. Radiation: λ = 1.5418 Å (Cu Kα). Structure: a DFT-relaxed cell (GGA+U, the Materials Project).
Kinematic intensities with the Lorentz-polarization factor, no thermal factor.

Peak list (8 most intense, 2θ = 10–90°, in order of rising 2θ)
d/Å  Position (°2θ)  intensity
2.988  29.9  37
2.628  34.1  100
2.581  34.8  65
2.514  35.7  36
2.500  35.9  54
2.170  41.6  45
1.657  55.4  33
1.494  62.1  74

Structure:
Cell: 5.986 5.986 5.986 Å, 119.42 117.14 93.02°
Sites, in units of the cell vectors:
1 Zn 0.000 0.000 0.000
2 Zn 0.500 0.000 0.500
3 Cr 0.000 0.000 0.500
4 Cr 0.000 0.500 0.000
5 Cr 0.376 0.626 0.750
6 Cr 0.624 0.374 0.250
7 O 0.212 0.742 0.470
8 O 0.228 0.258 0.970
9 O 0.246 0.233 0.487
10 O 0.246 0.759 0.013
11 O 0.754 0.241 0.987
12 O 0.754 0.767 0.513
13 O 0.772 0.742 0.030
14 O 0.788 0.258 0.530


(3)
This entry pairs a crystal structure of ZrCrO4 with its theoretical powder XRD pattern. Radiation: λ = 1.5418 Å (Cu Kα). Structure: a DFT-relaxed cell (GGA+U, the Materials Project).
Kinematic intensities with the Lorentz-polarization factor, no thermal factor.

Peak list (8 most intense, 2θ = 10–90°, in order of rising 2θ)
d/Å  Position (°2θ)  intensity
3.304  27.0  100
3.285  27.1  39
3.052  29.3  28
3.019  29.6  25
2.537  35.4  15
2.517  35.7  16
2.467  36.4  16
1.718  53.3  27

Structure:
Cell: 4.790 4.935 11.770 Å, 90.53 90.63 90.04°
Sites, in units of the cell vectors:
1 Zr 0.000 0.000 0.000
2 Zr 0.009 0.521 0.331
3 Zr 0.482 0.025 0.500
4 Zr 0.497 0.537 0.831
5 Cr 0.495 0.503 0.096
6 Cr 0.508 0.018 0.236
7 Cr 0.988 0.527 0.596
8 Cr 0.990 0.032 0.736
9 O 0.215 0.352 0.477
10 O 0.219 0.859 0.855
11 O 0.222 0.831 0.616
12 O 0.223 0.332 0.717
13 O 0.269 0.321 0.217
14 O 0.279 0.849 0.354
15 O 0.280 0.832 0.113
16 O 0.283 0.356 0.980
17 O 0.715 0.172 0.351
18 O 0.721 0.676 0.978
19 O 0.721 0.692 0.219
20 O 0.732 0.202 0.114
21 O 0.771 0.202 0.612
22 O 0.772 0.704 0.719
23 O 0.778 0.675 0.481
24 O 0.780 0.179 0.850


(4)
This entry pairs a crystal structure of ZrCrO4 with its theoretical powder XRD pattern. Radiation: λ = 1.5418 Å (Cu Kα). Structure: a DFT-relaxed cell (GGA+U, the Materials Project).
Kinematic intensities with the Lorentz-polarization factor, no thermal factor.

Peak list (8 most intense, 2θ = 10–90°, in order of rising 2θ)
d/Å  Position (°2θ)  intensity
3.293  27.1  100
3.040  29.4  41
2.541  35.3  25
2.469  36.4  12
1.917  47.4  22
1.737  52.7  35
1.714  53.5  19
1.439  64.8  12

Structure:
Cell: 4.760 11.854 4.939 Å, 90.00 90.00 90.00°
Sites, in units of the cell vectors:
1 Zr 0.000 0.171 0.250
2 Zr 0.000 0.829 0.750
3 Zr 0.500 0.329 0.750
4 Zr 0.500 0.671 0.250
5 Cr 0.000 0.434 0.250
6 Cr 0.000 0.566 0.750
7 Cr 0.500 0.066 0.750
8 Cr 0.500 0.934 0.250
9 O 0.221 0.316 0.090
10 O 0.221 0.684 0.590
11 O 0.224 0.445 0.568
12 O 0.224 0.555 0.068
13 O 0.276 0.055 0.068
14 O 0.276 0.945 0.568
15 O 0.279 0.184 0.590
16 O 0.279 0.816 0.090
17 O 0.721 0.184 0.910
18 O 0.721 0.816 0.410
19 O 0.724 0.055 0.432
20 O 0.724 0.945 0.932
21 O 0.776 0.445 0.932
22 O 0.776 0.555 0.432
23 O 0.779 0.316 0.410
24 O 0.779 0.684 0.910


(5)
This entry pairs a crystal structure of Cs2Cu3NiF10 with its theoretical powder XRD pattern. Radiation: λ = 1.5418 Å (Cu Kα). Structure: a DFT-relaxed cell (GGA+U, the Materials Project).
Kinematic intensities with the Lorentz-polarization factor, no thermal factor.

Peak list (8 most intense, 2θ = 10–90°, in order of rising 2θ)
d/Å  Position (°2θ)  intensity
3.626  24.6  64
3.170  28.1  44
3.158  28.3  92
3.099  28.8  43
3.008  29.7  100
2.926  30.6  62
2.812  31.8  89
1.813  50.3  47

Structure:
Cell: 6.795 6.862 7.232 Å, 62.09 62.46 66.02°
Sites, in units of the cell vectors:
1 Cs 0.115 0.121 0.126
2 Cs 0.885 0.879 0.874
3 Cu 0.000 0.500 0.500
4 Cu 0.500 0.000 0.500
5 Cu 0.500 0.500 0.500
6 Ni 0.500 0.500 0.000
7 F 0.163 0.552 0.191
8 F 0.214 0.711 0.503
9 F 0.241 0.237 0.576
10 F 0.416 0.427 0.813
11 F 0.450 0.839 0.806
12 F 0.550 0.161 0.194
13 F 0.584 0.573 0.187
14 F 0.759 0.763 0.424
15 F 0.786 0.289 0.497
16 F 0.837 0.448 0.809


(6)
This entry pairs a crystal structure of CsCuNiF6 with its theoretical powder XRD pattern. Radiation: λ = 1.5418 Å (Cu Kα). Structure: a DFT-relaxed cell (GGA+U, the Materials Project).
Kinematic intensities with the Lorentz-polarization factor, no thermal factor.

Peak list (8 most intense, 2θ = 10–90°, in order of rising 2θ)
d/Å  Position (°2θ)  intensity
3.658  24.3  33
3.139  28.4  56
3.113  28.7  100
3.006  29.7  15
2.972  30.1  16
2.003  45.3  21
1.988  45.6  14
1.829  49.9  39

Structure:
Cell: 7.317 7.317 7.317 Å, 120.43 119.32 90.22°
Sites, in units of the cell vectors:
1 Cs 0.373 0.123 0.250
2 Cs 0.627 0.877 0.750
3 Cu 0.000 0.500 0.500
4 Cu 0.500 0.500 0.000
5 Ni 0.000 0.000 0.500
6 Ni 0.000 0.500 0.000
7 F 0.073 0.430 0.258
8 F 0.073 0.815 0.643
9 F 0.073 0.823 0.250
10 F 0.318 0.568 0.750
11 F 0.328 0.185 0.758
12 F 0.328 0.570 0.143
13 F 0.672 0.430 0.857
14 F 0.672 0.815 0.242
15 F 0.682 0.432 0.250
16 F 0.927 0.177 0.750
17 F 0.927 0.185 0.357
18 F 0.927 0.570 0.742


(7)
This entry pairs a crystal structure of CsDyMo2O8 with its theoretical powder XRD pattern. Radiation: λ = 1.5418 Å (Cu Kα). Structure: a DFT-relaxed cell (GGA+U, the Materials Project).
Kinematic intensities with the Lorentz-polarization factor, no thermal factor.

Peak list (8 most intense, 2θ = 10–90°, in order of rising 2θ)
d/Å  Position (°2θ)  intensity
3.526  25.3  77
3.188  28.0  100
3.082  29.0  22
2.548  35.2  11
2.043  44.3  12
1.991  45.6  16
1.964  46.2  23
1.787  51.1  13

Structure:
Cell: 9.774 5.095 8.179 Å, 90.00 92.00 90.00°
Sites, in units of the cell vectors:
1 Cs 0.000 0.037 0.250
2 Cs 0.000 0.963 0.750
3 Dy 0.500 0.001 0.750
4 Dy 0.500 0.999 0.250
5 Mo 0.307 0.477 0.492
6 Mo 0.307 0.523 0.992
7 Mo 0.693 0.477 0.008
8 Mo 0.693 0.523 0.508
9 O 0.142 0.390 0.983
10 O 0.142 0.610 0.483
11 O 0.318 0.259 0.318
12 O 0.318 0.261 0.667
13 O 0.318 0.739 0.167
14 O 0.318 0.741 0.818
15 O 0.434 0.247 0.997
16 O 0.434 0.753 0.497
17 O 0.566 0.247 0.503
18 O 0.566 0.753 0.003
19 O 0.682 0.259 0.182
20 O 0.682 0.261 0.833
21 O 0.682 0.739 0.333
22 O 0.682 0.741 0.682
23 O 0.858 0.390 0.517
24 O 0.858 0.610 0.017


(8)
This entry pairs a crystal structure of CsErMo2O8 with its theoretical powder XRD pattern. Radiation: λ = 1.5418 Å (Cu Kα). Structure: a DFT-relaxed cell (GGA+U, the Materials Project).
Kinematic intensities with the Lorentz-polarization factor, no thermal factor.

Peak list (8 most intense, 2θ = 10–90°, in order of rising 2θ)
d/Å  Position (°2θ)  intensity
3.244  27.5  100
3.128  28.5  63
2.941  30.4  31
2.711  33.0  12
2.650  33.8  19
1.968  46.1  14
1.798  50.8  10
1.713  53.5  14

Structure:
Cell: 7.586 7.586 7.778 Å, 117.92 117.92 88.59°
Sites, in units of the cell vectors:
1 Cs 0.197 0.803 0.750
2 Cs 0.803 0.197 0.250
3 Er 0.229 0.771 0.250
4 Er 0.771 0.229 0.750
5 Mo 0.303 0.307 0.267
6 Mo 0.307 0.303 0.767
7 Mo 0.693 0.697 0.233
8 Mo 0.697 0.693 0.733
9 O 0.050 0.212 0.699
10 O 0.067 0.380 0.122
11 O 0.212 0.050 0.199
12 O 0.241 0.383 0.566
13 O 0.369 0.586 0.034
14 O 0.380 0.067 0.622
15 O 0.383 0.241 0.066
16 O 0.414 0.631 0.466
17 O 0.586 0.369 0.534
18 O 0.617 0.759 0.934
19 O 0.620 0.933 0.378
20 O 0.631 0.414 0.966
21 O 0.759 0.617 0.434
22 O 0.788 0.950 0.801
23 O 0.933 0.620 0.878
24 O 0.950 0.788 0.301


(9)
This entry pairs a crystal structure of CsErMo2O8 with its theoretical powder XRD pattern. Radiation: λ = 1.5418 Å (Cu Kα). Structure: a DFT-relaxed cell (GGA+U, the Materials Project).
Kinematic intensities with the Lorentz-polarization factor, no thermal factor.

Peak list (8 most intense, 2θ = 10–90°, in order of rising 2θ)
d/Å  Position (°2θ)  intensity
3.497  25.5  99
3.170  28.1  100
3.100  28.8  57
2.544  35.3  16
2.026  44.7  15
1.967  46.2  45
1.917  47.4  17
1.753  52.2  27

Structure:
Cell: 5.088 9.628 8.106 Å, 90.00 90.00 90.00°
Sites, in units of the cell vectors:
1 Cs 0.000 0.000 0.250
2 Cs 0.000 0.000 0.750
3 Er 0.000 0.500 0.250
4 Er 0.000 0.500 0.750
5 Mo 0.477 0.306 0.000
6 Mo 0.477 0.694 0.500
7 Mo 0.523 0.306 0.500
8 Mo 0.523 0.694 0.000
9 O 0.247 0.434 0.500
10 O 0.247 0.566 0.000
11 O 0.258 0.316 0.176
12 O 0.258 0.316 0.824
13 O 0.258 0.684 0.324
14 O 0.258 0.684 0.676
15 O 0.386 0.139 0.500
16 O 0.386 0.861 0.000
17 O 0.614 0.139 0.000
18 O 0.614 0.861 0.500
19 O 0.742 0.316 0.324
20 O 0.742 0.316 0.676
21 O 0.742 0.684 0.176
22 O 0.742 0.684 0.824
23 O 0.753 0.434 0.000
24 O 0.753 0.566 0.500


(10)
This entry pairs a crystal structure of CsErMo2O8 with its theoretical powder XRD pattern. Radiation: λ = 1.5418 Å (Cu Kα). Structure: a DFT-relaxed cell (GGA+U, the Materials Project).
Kinematic intensities with the Lorentz-polarization factor, no thermal factor.

Peak list (8 most intense, 2θ = 10–90°, in order of rising 2θ)
d/Å  Position (°2θ)  intensity
3.506  25.4  73
3.198  27.9  100
3.090  28.9  22
2.531  35.5  11
2.061  43.9  15
1.986  45.7  15
1.959  46.4  22
1.599  57.7  12

Structure:
Cell: 9.724 5.063 8.252 Å, 90.00 92.06 90.00°
Sites, in units of the cell vectors:
1 Cs 0.000 0.032 0.250
2 Cs 0.000 0.968 0.750
3 Er 0.500 0.000 0.250
4 Er 0.500 0.000 0.750
5 Mo 0.309 0.475 0.492
6 Mo 0.309 0.525 0.992
7 Mo 0.691 0.475 0.008
8 Mo 0.691 0.525 0.508
9 O 0.144 0.388 0.982
10 O 0.144 0.612 0.482
11 O 0.320 0.258 0.666
12 O 0.320 0.742 0.166
13 O 0.322 0.259 0.319
14 O 0.322 0.741 0.819
15 O 0.434 0.246 0.998
16 O 0.434 0.754 0.498
17 O 0.566 0.246 0.502
18 O 0.566 0.754 0.002
19 O 0.678 0.259 0.181
20 O 0.678 0.741 0.681
21 O 0.680 0.258 0.834
22 O 0.680 0.742 0.334
23 O 0.856 0.388 0.518
24 O 0.856 0.612 0.018


(11)
This entry pairs a crystal structure of CsErMo2O8 with its theoretical powder XRD pattern. Radiation: λ = 1.5418 Å (Cu Kα). Structure: a DFT-relaxed cell (GGA+U, the Materials Project).
Kinematic intensities with the Lorentz-polarization factor, no thermal factor.

Peak list (8 most intense, 2θ = 10–90°, in order of rising 2θ)
d/Å  Position (°2θ)  intensity
5.239  16.9  43
4.420  20.1  73
3.237  27.6  100
3.025  29.5  73
2.210  40.8  41
1.785  51.2  36
1.702  53.9  27
1.370  68.5  15

Structure:
Cell: 6.050 6.050 8.234 Å, 90.00 90.00 120.00°
Sites, in units of the cell vectors:
1 Cs 0.000 0.000 0.000
2 Er 0.000 0.000 0.500
3 Mo 0.333 0.667 0.265
4 Mo 0.667 0.333 0.735
5 O 0.170 0.339 0.335
6 O 0.170 0.830 0.335
7 O 0.333 0.667 0.052
8 O 0.339 0.170 0.665
9 O 0.661 0.830 0.335
10 O 0.667 0.333 0.948
11 O 0.830 0.170 0.665
12 O 0.830 0.661 0.665